Starting from a DFT-relaxed cell (PBE, the Materials Project), the XRD peak list of Rb2CrCl4 was simulated for copper Kα.

Atomic structure:
```
data_Rb2CrCl4
_chemical_formula_sum 'Rb4 Cr2 Cl8'
_symmetry_space_group_name_H-M 'I 4/m m m'
_symmetry_Int_Tables_number 139
_symmetry_space_group_name_Hall '-I 4 2'
_cell_length_a 6.3983
_cell_length_b 6.3983
_cell_length_c 21.0884
_cell_angle_alpha 90.00
_cell_angle_beta 90.00
_cell_angle_gamma 90.00
loop_
_atom_site_label
_atom_site_fract_x
_atom_site_fract_y
_atom_site_fract_z
Rb1 0.0000 0.0000 0.2267
Cr1 0.0000 0.0000 0.5000
Cl1 0.0000 0.0000 0.3969
Cl2 0.0000 0.5000 0.2500
```

Principal peaks in the range 10° ≤ 2θ ≤ 90°, by angle:
index, 2θ (°), I (rel.)
1 0 1, 14.47, 59
0 0 4, 16.82, 54
1 0 3, 18.75, 38
1 1 0, 19.62, 88
0 0 6, 25.31, 49
2 0 0, 27.89, 100
2 0 2, 29.17, 34
2 0 4, 32.74, 41
1 0 7, 32.86, 33
2 0 6, 38.02, 41
2 2 0, 39.85, 36
2 2 4, 43.59, 47